Entry 1:
# Ca2PtRh2
Computed X-ray powder pattern, λ = 1.5418 Å (Cu Kα). Input: a DFT-relaxed cell (GGA-PBE, Alexandria).
Neutral-atom scattering factors, no anomalous dispersion.

Largest 10 diffraction maxima, by intensity, 10° ≤ 2θ ≤ 80°:
- 2θ = 20.2°, intensity 100
- 2θ = 36.0°, intensity 84
- 2θ = 42.1°, intensity 68
- 2θ = 33.4°, intensity 64
- 2θ = 47.1°, intensity 63
- 2θ = 60.3°, intensity 47
- 2θ = 41.2°, intensity 38
- 2θ = 74.4°, intensity 22
- 2θ = 37.5°, intensity 21
- 2θ = 27.5°, intensity 21

Structural model:
```
Ca2PtRh2
1.0
6.7918 0.0000 0.0000
0.0000 6.7918 0.0000
0.0000 0.0000 4.3873
Ca Pt Rh
4 2 4
direct
0.1801 0.3199 0.0000 Ca
0.3199 0.8199 0.0000 Ca
0.6801 0.1801 0.0000 Ca
0.8199 0.6801 0.0000 Ca
0.0000 0.0000 0.5000 Pt
0.5000 0.5000 0.5000 Pt
0.1286 0.6286 0.5000 Rh
0.3714 0.1286 0.5000 Rh
0.6286 0.8714 0.5000 Rh
0.8714 0.3714 0.5000 Rh
```


Entry 2:
# Ca2Zn5Pt2Rh
Computed X-ray powder pattern, λ = 1.5418 Å (Cu Kα). Input: a DFT-relaxed cell (GGA-PBE, Alexandria).
Neutral-atom scattering factors, no anomalous dispersion.

Largest 10 diffraction maxima, by intensity, 10° ≤ 2θ ≤ 80°:
- 2θ = 37.6°, intensity 100
- 2θ = 20.3°, intensity 63
- 2θ = 41.0°, intensity 50
- 2θ = 52.9°, intensity 23
- 2θ = 48.3°, intensity 20
- 2θ = 44.2°, intensity 20
- 2θ = 31.3°, intensity 15
- 2θ = 63.8°, intensity 12
- 2θ = 37.9°, intensity 12
- 2θ = 39.1°, intensity 12

Structural model:
```
Ca2Zn5Pt2Rh
1.0
9.7832 0.0000 0.0000
0.0000 9.7832 0.0000
0.0000 0.0000 3.7655
Ca Zn Pt Rh
4 10 4 2
direct
0.1743 0.3257 0.0000 Ca
0.3257 0.8257 0.0000 Ca
0.6743 0.1743 0.0000 Ca
0.8257 0.6743 0.0000 Ca
0.0000 0.5000 0.5000 Zn
0.0580 0.8100 0.5000 Zn
0.1900 0.0580 0.5000 Zn
0.3100 0.5580 0.5000 Zn
0.4420 0.3100 0.5000 Zn
0.5000 0.0000 0.5000 Zn
0.5580 0.6900 0.5000 Zn
0.6900 0.4420 0.5000 Zn
0.8100 0.9420 0.5000 Zn
0.9420 0.1900 0.5000 Zn
0.1257 0.6257 0.0000 Pt
0.3743 0.1257 0.0000 Pt
0.6257 0.8743 0.0000 Pt
0.8743 0.3743 0.0000 Pt
0.0000 0.0000 0.0000 Rh
0.5000 0.5000 0.0000 Rh
```


Entry 3:
# CaRuPt3
Computed X-ray powder pattern, λ = 1.5418 Å (Cu Kα). Input: a DFT-relaxed cell (GGA-PBE, Alexandria).
Neutral-atom scattering factors, no anomalous dispersion.

Largest 10 diffraction maxima, by intensity, 10° ≤ 2θ ≤ 80°:
- 2θ = 31.9°, intensity 100
- 2θ = 37.0°, intensity 99
- 2θ = 18.3°, intensity 71
- 2θ = 53.4°, intensity 70
- 2θ = 63.6°, intensity 43
- 2θ = 41.6°, intensity 36
- 2θ = 66.8°, intensity 24
- 2θ = 56.9°, intensity 18
- 2θ = 78.9°, intensity 11
- 2θ = 69.9°, intensity 8

Structural model:
```
CaRuPt3
1.0
4.8530 0.0000 0.0000
0.0000 4.8530 0.0000
0.0000 0.0000 4.8530
Ca Ru Pt
1 1 3
direct
0.0000 0.0000 0.0000 Ca
0.5000 0.5000 0.5000 Ru
0.0000 0.5000 0.5000 Pt
0.5000 0.0000 0.5000 Pt
0.5000 0.5000 0.0000 Pt
```